For Rb2PuCl6, a cell relaxed with PBE gives the calculated powder diffractogram in this record (λ = 1.5418 Å (Cu Kα)).

Main lines, low angle first (2θ = 5–70°):
hkl  2θ/deg  I (rel.)
0 0 2  14.43  28.9
1 0 1  15.47  100.0
1 0 2  19.93  34.4
1 1 0  23.80  61.4
1 0 3  25.76  54.0
1 1 2  27.94  31.0
2 0 2  31.23  58.7
2 0 3  35.35  46.0
2 1 3  43.06  30.2
2 2 0  48.70  30.0

Structural model:
```
data_Rb2PuCl6
_space_group_name_H-M_alt 'P 63 m c'
_space_group_IT_number 186
_space_group_name_Hall 'P 6c -2c'
_cell_length_a 7.4784
_cell_length_b 7.4784
_cell_length_c 12.2723
_cell_angle_alpha 90.00
_cell_angle_beta 90.00
_cell_angle_gamma 120.00
loop_
_atom_site_label
_atom_site_type_symbol
_atom_site_fract_x
_atom_site_fract_y
_atom_site_fract_z
_atom_site_occupancy
Rb1 Rb 0.0000 0.0000 0.0000 1
Rb2 Rb 0.3333 0.6667 0.2723 1
Pu1 Pu 0.3333 0.6667 0.6394 1
Cl1 Cl 0.0110 0.5055 0.5139 1
Cl2 Cl 0.1642 0.3283 0.7535 1
```

***

For CeSe2, a cell relaxed with PBE gives the calculated powder diffractogram in this record (λ = 1.5418 Å (Cu Kα)).

Main lines, low angle first (2θ = 5–70°):
hkl  2θ/deg  I (rel.)
0 2 0  5.95  28.4
2 0 0  7.54  38.8
0 2 1  11.77  94.1
1 3 1  14.04  100.0
2 4 0  14.12  26.2
3 3 0  14.44  62.0
4 0 0  15.11  47.5
0 0 2  20.38  23.1
7 3 0  28.14  29.2
10 0 2  43.78  29.4

Structural model:
```
data_CeSe2
_space_group_name_H-M_alt 'C m c 21'
_space_group_IT_number 36
_space_group_name_Hall 'C 2c -2'
_cell_length_a 23.453
_cell_length_b 29.706
_cell_length_c 8.714
_cell_angle_alpha 90.00
_cell_angle_beta 90.00
_cell_angle_gamma 90.00
loop_
_atom_site_label
_atom_site_type_symbol
_atom_site_fract_x
_atom_site_fract_y
_atom_site_fract_z
_atom_site_occupancy
Ce1 Ce 0.000 0.115 0.000 1
Ce2 Ce 0.000 0.215 0.492 1
Ce3 Ce 0.204 0.287 0.517 1
Ce4 Ce 0.212 0.051 0.065 1
Se1 Se 0.000 0.150 0.712 1
Se2 Se 0.000 0.186 0.196 1
Se3 Se 0.091 0.269 0.531 1
Se4 Se 0.098 0.068 0.045 1
Se5 Se 0.218 0.378 0.518 1
Se6 Se 0.235 0.009 0.336 1
Se7 Se 0.243 0.257 0.789 1
```

***

For TbNiGe3, a cell relaxed with PBE gives the calculated powder diffractogram in this record (λ = 1.5418 Å (Cu Kα)).

Main lines, low angle first (2θ = 5–70°):
hkl  2θ/deg  I (rel.)
1 3 0  25.07  7.3
0 6 1  33.29  36.0
1 3 1  33.42  100.0
1 5 1  37.49  12.6
1 7 1  42.97  7.8
1 9 0  43.90  21.5
2 0 0  44.30  49.3
2 6 1  56.52  20.6
1 9 2  64.15  13.6
2 0 2  64.45  15.8

Structural model:
```
data_TbNiGe3
_space_group_name_H-M_alt 'C m m m'
_space_group_IT_number 65
_space_group_name_Hall '-C 2 2'
_cell_length_a 4.091
_cell_length_b 21.493
_cell_length_c 4.087
_cell_angle_alpha 90.00
_cell_angle_beta 90.00
_cell_angle_gamma 90.00
loop_
_atom_site_label
_atom_site_type_symbol
_atom_site_fract_x
_atom_site_fract_y
_atom_site_fract_z
_atom_site_occupancy
Tb1 Tb 0.000 0.169 0.000 1
Ni1 Ni 0.000 0.390 0.500 1
Ge1 Ge 0.000 0.057 0.500 1
Ge2 Ge 0.000 0.284 0.500 1
Ge3 Ge 0.000 0.443 0.000 1
```

***

For NdAsPd, a cell relaxed with PBE gives the calculated powder diffractogram in this record (λ = 1.5418 Å (Cu Kα)).

Main lines, low angle first (2θ = 5–70°):
hkl  2θ/deg  I (rel.)
0 0 2  22.66  1.4
1 0 0  23.41  5.4
1 0 1  26.05  2.4
1 0 2  32.80  100.0
1 1 0  41.14  51.8
0 0 4  46.27  12.3
1 0 4  52.48  1.3
2 0 2  53.59  24.6
1 1 4  63.61  28.1
2 1 2  69.71  22.2

Structural model:
```
data_NdAsPd
_space_group_name_H-M_alt 'P 63/m m c'
_space_group_IT_number 194
_space_group_name_Hall '-P 6c 2c'
_cell_length_a 4.3883
_cell_length_b 4.3883
_cell_length_c 7.8491
_cell_angle_alpha 90.00
_cell_angle_beta 90.00
_cell_angle_gamma 120.00
loop_
_atom_site_label
_atom_site_type_symbol
_atom_site_fract_x
_atom_site_fract_y
_atom_site_fract_z
_atom_site_occupancy
Nd1 Nd 0.0000 0.0000 0.0000 1
As1 As 0.3333 0.6667 0.2500 1
Pd1 Pd 0.3333 0.6667 0.7500 1
```

***

For TaGaNi6, a cell relaxed with PBE gives the calculated powder diffractogram in this record (λ = 1.5418 Å (Cu Kα)).

Main lines, low angle first (2θ = 5–70°):
hkl  2θ/deg  I (rel.)
0 0 1  12.24  13.6
1 0 0  24.60  11.6
1 0 1  27.55  8.9
1 1 0  35.06  9.6
0 0 3  37.26  5.4
1 1 2  43.30  100.0
2 0 0  50.39  31.6
0 0 4  50.50  15.7
2 1 0  56.89  5.2
2 1 2  62.90  4.0

Structural model:
```
data_TaGaNi6
_space_group_name_H-M_alt 'P 4/m m m'
_space_group_IT_number 123
_space_group_name_Hall '-P 4 2'
_cell_length_a 3.622
_cell_length_b 3.622
_cell_length_c 7.229
_cell_angle_alpha 90.00
_cell_angle_beta 90.00
_cell_angle_gamma 90.00
loop_
_atom_site_label
_atom_site_type_symbol
_atom_site_fract_x
_atom_site_fract_y
_atom_site_fract_z
_atom_site_occupancy
Ta1 Ta 0.000 0.000 0.000 1
Ga1 Ga 0.000 0.000 0.500 1
Ni1 Ni 0.000 0.500 0.251 1
Ni2 Ni 0.500 0.500 0.000 1
Ni3 Ni 0.500 0.500 0.500 1
```

***

For Rb2LiNdF6, a cell relaxed with PBE gives the calculated powder diffractogram in this record (λ = 1.5418 Å (Cu Kα)).

Main lines, low angle first (2θ = 5–70°):
hkl  2θ/deg  I (rel.)
1 1 1  17.32  48.7
2 2 0  28.47  100.0
3 1 1  33.52  32.4
4 0 0  40.70  45.2
3 3 1  44.54  16.2
4 2 2  50.42  41.5
3 3 3  53.71  10.3
4 4 0  58.92  28.1
5 3 1  61.91  10.1
6 2 0  66.71  18.6

Structural model:
```
data_Rb2LiNdF6
_space_group_name_H-M_alt 'F m -3 m'
_space_group_IT_number 225
_space_group_name_Hall '-F 4 2 3'
_cell_length_a 8.867
_cell_length_b 8.867
_cell_length_c 8.867
_cell_angle_alpha 90.00
_cell_angle_beta 90.00
_cell_angle_gamma 90.00
loop_
_atom_site_label
_atom_site_type_symbol
_atom_site_fract_x
_atom_site_fract_y
_atom_site_fract_z
_atom_site_occupancy
Rb1 Rb 0.250 0.250 0.250 1
Li1 Li 0.000 0.000 0.000 1
Nd1 Nd 0.000 0.000 0.500 1
F1 F 0.000 0.000 0.243 1
```

***

For Co4Te3N2, a cell relaxed with PBE gives the calculated powder diffractogram in this record (λ = 1.5418 Å (Cu Kα)).

Main lines, low angle first (2θ = 5–70°):
hkl  2θ/deg  I (rel.)
0 3 1  28.03  91.8
2 1 0  30.03  30.8
1 0 3  32.80  93.1
2 2 1  35.22  94.7
1 3 2  36.01  100.0
2 3 1  40.56  22.8
1 2 4  46.01  59.4
1 3 4  50.41  31.9
3 2 2  51.65  27.6
1 6 3  64.63  19.5

Structural model:
```
data_Co4Te3N2
_space_group_name_H-M_alt 'P n m a'
_space_group_IT_number 62
_space_group_name_Hall '-P 2ac 2n'
_cell_length_a 6.220
_cell_length_b 10.190
_cell_length_c 9.117
_cell_angle_alpha 90.00
_cell_angle_beta 90.00
_cell_angle_gamma 90.00
loop_
_atom_site_label
_atom_site_type_symbol
_atom_site_fract_x
_atom_site_fract_y
_atom_site_fract_z
_atom_site_occupancy
Co1 Co 0.137 0.250 0.053 1
Co2 Co 0.196 0.750 0.075 1
Co3 Co 0.197 0.017 0.931 1
Te1 Te 0.073 0.575 0.672 1
Te2 Te 0.099 0.750 0.341 1
N1 N 0.039 0.616 0.012 1
```

***

For NaBe2BO3F2, a cell relaxed with PBE gives the calculated powder diffractogram in this record (λ = 1.5418 Å (Cu Kα)).

Main lines, low angle first (2θ = 5–70°):
hkl  2θ/deg  I (rel.)
2 0 0  15.00  47.1
3 1 0  24.79  18.9
3 1 -2  28.42  17.4
4 0 0  30.26  42.4
4 0 -2  30.96  100.0
2 2 -3  40.98  32.1
6 0 -2  42.89  16.1
3 3 1  43.49  20.8
0 2 3  43.87  37.6
1 3 -3  48.00  17.6

Structural model:
```
data_NaBe2BO3F2
_space_group_name_H-M_alt 'C 1 2 1'
_space_group_IT_number 5
_space_group_name_Hall 'C 2y'
_cell_length_a 12.867
_cell_length_b 8.766
_cell_length_c 7.642
_cell_angle_alpha 90.00
_cell_angle_beta 113.34
_cell_angle_gamma 90.00
loop_
_atom_site_label
_atom_site_type_symbol
_atom_site_fract_x
_atom_site_fract_y
_atom_site_fract_z
_atom_site_occupancy
Na1 Na 0.000 0.000 0.000 1
Na2 Na 0.000 0.143 0.500 1
Na3 Na 0.000 0.402 0.000 1
Na4 Na 0.000 0.555 0.500 1
Be1 Be 0.183 0.915 0.800 1
Be2 Be 0.191 0.638 0.301 1
Be3 Be 0.215 0.387 0.804 1
Be4 Be 0.222 0.166 0.304 1
B1 B 0.215 0.649 0.978 1
B2 B 0.228 0.906 0.486 1
O1 O 0.205 0.728 0.815 1
O2 O 0.211 0.729 0.131 1
O3 O 0.223 0.987 0.637 1
O4 O 0.227 0.749 0.488 1
O5 O 0.235 0.493 0.991 1
O6 O 0.238 0.982 0.336 1
F1 F 0.058 0.957 0.754 1
F2 F 0.068 0.582 0.246 1
F3 F 0.089 0.351 0.694 1
F4 F 0.096 0.202 0.190 1
```

***

Q: Number 4 is which compound?
A: NdAsPd